[1]
Simulated PXRD pattern of Li2Mg2ZnGaPt2 for Cu Ka, from DFT lattice parameters and positions (GGA-PBE).
Kinematic intensities with the Lorentz-polarization factor, no thermal factor.

Principal peaks in the range 2θ from 10° to 90°, by angle:
2theta  intensity  hkl
24.73  100  1 0 1
28.63  13  1 1 0
40.94  95  2 0 0
48.42  50  2 1 1
59.28  16  2 2 0
65.22  21  3 0 1
67.13  5  3 1 0
74.55  32  3 1 2
79.94  16  3 2 1
88.75  10  4 0 0

Cell and atoms:
```
8
Lattice="4.409 0.000 0.000 0.000 4.409 0.000 0.000 0.000 6.235" Properties=species:S:1:pos:R:3 pbc="T T T"
Li 0.000 2.205 1.545
Li 2.205 0.000 4.690
Mg 0.000 0.000 0.000
Mg 2.205 2.205 3.118
Zn 2.205 2.205 0.000
Ga 0.000 0.000 3.118
Pt 0.000 2.205 4.635
Pt 2.205 0.000 1.600
```

=====

[2]
Simulated PXRD pattern of AgAsNO for Cu Ka, from DFT lattice parameters and positions (GGA-PBE).
Kinematic intensities with the Lorentz-polarization factor, no thermal factor.

Principal peaks in the range 2θ from 10° to 90°, by angle:
2theta  intensity  hkl
29.86  72  0 0 2
32.63  100  0 2 1
32.82  78  1 1 0
36.18  66  1 1 1
44.96  49  1 1 2
54.79  28  0 2 3
56.09  27  1 3 1
57.20  26  1 1 3
70.83  20  2 2 1
86.40  15  2 2 3

Cell and atoms:
```
8
Lattice="3.042 0.000 0.000 0.000 6.176 0.000 0.000 0.000 5.984" Properties=species:S:1:pos:R:3 pbc="T T T"
Ag 0.000 0.642 0.000
Ag 0.000 5.533 2.992
As 1.521 2.226 2.852
As 1.521 3.950 5.844
N 0.000 1.390 2.117
N 0.000 4.786 5.109
O 1.521 2.364 5.045
O 1.521 3.811 2.053
```